The following is a computed powder XRD pattern of Hf4AgS8. It was derived from DFT lattice parameters and positions (PBE), using Cu Kα (λ = 1.5418 Å).

Principal peaks in the range 15° ≤ 2θ ≤ 90°, sorted by position:
h k l  2θ/deg  Rel. int.
3 1 1  27.99  100
2 2 2  29.26  32
4 0 0  33.91  59
3 3 1  37.06  18
5 1 1  44.52  45
4 4 0  48.72  66
5 3 1  51.10  18
6 2 2  57.84  17
5 5 3  68.11  23
8 4 0  81.40  18

Crystal structure
```
data_Hf4AgS8
_cell_length_a 10.574
_cell_length_b 10.574
_cell_length_c 10.574
_cell_angle_alpha 90.00
_cell_angle_beta 90.00
_cell_angle_gamma 90.00
_space_group_name_H-M_alt 'F -4 3 m'
_space_group_IT_number 216
_space_group_name_Hall 'F -4 2 3'
loop_
_atom_site_label
_atom_site_fract_x
_atom_site_fract_y
_atom_site_fract_z
Hf1 0.122 0.122 0.378
Ag1 0.000 0.000 0.000
S1 0.119 0.119 0.619
S2 0.135 0.135 0.135
```

---

The following is a computed powder XRD pattern of VSiS. It was derived from DFT lattice parameters and positions (PBE), using Cu Kα (λ = 1.5418 Å).

Principal peaks in the range 15° ≤ 2θ ≤ 90°, sorted by position:
h k l  2θ/deg  Rel. int.
0 0 1  16.82  51
1 1 -1  33.74  100
2 0 0  35.94  48
1 1 1  38.94  14
1 1 -2  43.10  49
2 0 1  44.52  19
1 1 2  51.50  43
2 0 -3  54.13  18
0 2 0  54.53  18
3 1 -1  59.69  27

Crystal structure
```
data_VSiS
_cell_length_a 5.235
_cell_length_b 3.366
_cell_length_c 5.522
_cell_angle_alpha 90.00
_cell_angle_beta 107.34
_cell_angle_gamma 90.00
_space_group_name_H-M_alt 'C 1 m 1'
_space_group_IT_number 8
_space_group_name_Hall 'C -2y'
loop_
_atom_site_label
_atom_site_fract_x
_atom_site_fract_y
_atom_site_fract_z
V1 0.000 0.000 0.000
Si1 0.053 0.500 0.688
S1 0.428 0.000 0.268
```

---

The following is a computed powder XRD pattern of HoSi2NiPt4. It was derived from DFT lattice parameters and positions (PBE), using Cu Kα (λ = 1.5418 Å).

Principal peaks in the range 15° ≤ 2θ ≤ 90°, sorted by position:
h k l  2θ/deg  Rel. int.
0 0 2  19.40  37
1 1 0  31.91  18
1 1 2  37.62  100
0 0 4  39.38  19
2 0 0  45.76  37
1 1 4  51.55  15
2 0 4  61.93  20
2 2 0  66.72  14
1 1 6  70.24  19
3 1 2  79.20  26

Crystal structure
```
data_HoSi2NiPt4
_cell_length_a 3.966
_cell_length_b 3.966
_cell_length_c 9.152
_cell_angle_alpha 90.00
_cell_angle_beta 90.00
_cell_angle_gamma 90.00
_space_group_name_H-M_alt 'P 4/m m m'
_space_group_IT_number 123
_space_group_name_Hall '-P 4 2'
loop_
_atom_site_label
_atom_site_fract_x
_atom_site_fract_y
_atom_site_fract_z
Ho1 0.000 0.000 0.000
Si1 0.500 0.500 0.377
Ni1 0.000 0.000 0.500
Pt1 0.000 0.500 0.239
```

---

The following is a computed powder XRD pattern of Ce2Au3. It was derived from DFT lattice parameters and positions (PBE), using Cu Kα (λ = 1.5418 Å).

Principal peaks in the range 15° ≤ 2θ ≤ 90°, sorted by position:
h k l  2θ/deg  Rel. int.
1 1 0  24.66  24
1 3 1  32.51  100
1 7 0  32.96  37
0 10 1  36.79  77
0 0 2  38.31  59
1 9 1  42.38  34
2 0 0  50.14  21
1 7 2  51.42  21
2 10 1  63.78  31
2 0 2  64.82  20

Crystal structure
```
data_Ce2Au3
_cell_length_a 3.639
_cell_length_b 28.598
_cell_length_c 4.698
_cell_angle_alpha 90.00
_cell_angle_beta 90.00
_cell_angle_gamma 90.00
_space_group_name_H-M_alt 'C m c m'
_space_group_IT_number 63
_space_group_name_Hall '-C 2c 2'
loop_
_atom_site_label
_atom_site_fract_x
_atom_site_fract_y
_atom_site_fract_z
Ce1 0.000 0.072 0.250
Ce2 0.000 0.206 0.750
Au1 0.000 0.319 0.750
Au2 0.000 0.379 0.250
Au3 0.000 0.475 0.250
```

---

The following is a computed powder XRD pattern of Pa2Te2I3. It was derived from DFT lattice parameters and positions (PBE), using Cu Kα (λ = 1.5418 Å).

Principal peaks in the range 15° ≤ 2θ ≤ 90°, sorted by position:
h k l  2θ/deg  Rel. int.
0 0 3  16.56  15
0 1 0  20.46  31
1 0 -1  20.64  26
0 0 5  27.77  39
1 1 -1  29.22  100
0 1 5  34.74  14
0 2 0  41.60  35
1 1 -6  42.73  58
2 0 4  50.76  30
3 1 -2  68.38  18

Crystal structure
```
data_Pa2Te2I3
_cell_length_a 4.343
_cell_length_b 4.341
_cell_length_c 16.213
_cell_angle_alpha 90.00
_cell_angle_beta 97.81
_cell_angle_gamma 90.00
_space_group_name_H-M_alt 'P 1 2/m 1'
_space_group_IT_number 10
_space_group_name_Hall '-P 2y'
loop_
_atom_site_label
_atom_site_fract_x
_atom_site_fract_y
_atom_site_fract_z
Pa1 0.098 0.000 0.194
Te1 0.409 0.500 0.820
I1 0.000 0.000 0.000
I2 0.190 0.000 0.374
```

---

The following is a computed powder XRD pattern of Tb4IrRu3. It was derived from DFT lattice parameters and positions (PBE), using Cu Kα (λ = 1.5418 Å).

Principal peaks in the range 15° ≤ 2θ ≤ 90°, sorted by position:
h k l  2θ/deg  Rel. int.
0 0 2  18.34  1
1 0 0  26.06  2
0 0 3  27.68  1
0 1 3  33.40  1
1 1 2  37.18  100
2 0 0  53.60  17
2 2 0  67.01  24
1 1 6  67.09  12
2 2 4  79.21  9
0 0 8  79.32  2

Crystal structure
```
data_Tb4IrRu3
_cell_length_a 3.420
_cell_length_b 4.841
_cell_length_c 9.663
_cell_angle_alpha 90.00
_cell_angle_beta 90.00
_cell_angle_gamma 90.00
_space_group_name_H-M_alt 'P m m m'
_space_group_IT_number 47
_space_group_name_Hall '-P 2 2'
loop_
_atom_site_label
_atom_site_fract_x
_atom_site_fract_y
_atom_site_fract_z
Tb1 0.000 0.000 0.000
Tb2 0.000 0.000 0.500
Tb3 0.000 0.500 0.247
Ir1 0.500 0.500 0.500
Ru1 0.500 0.000 0.250
Ru2 0.500 0.500 0.000
```